Diffraction record for Hf4H3N. The powder diffractogram is theoretical, not measured: it uses a crystal structure in Alexandria, relaxed with PBE and Cu Kα.
Kinematic intensities with the Lorentz-polarization factor, no thermal factor.

Main lines, most intense first (2θ from 10° to 90°):
| two_theta | intensity |
| --- | --- |
| 34.5 | 100 |
| 33.0 | 34 |
| 36.3 | 24 |
| 32.2 | 20 |
| 59.9 | 18 |
| 66.7 | 15 |
| 56.2 | 13 |
| 30.2 | 13 |
| 46.8 | 13 |
| 52.2 | 11 |

Cell and atoms:
Cell lengths 7.0072, 5.5547, 5.4229 Å; angles 90.00, 90.00, 90.00 degrees
Sites, in units of the cell vectors:
Hf  0.0000  0.1959  0.0000
Hf  0.0000  0.8037  0.4374
Hf  0.2320  0.6823  0.9483
Hf  0.2680  0.3177  0.4483
Hf  0.5000  0.1963  0.9374
Hf  0.5000  0.8041  0.5000
Hf  0.7320  0.3177  0.4483
Hf  0.7680  0.6823  0.9483
H  0.0000  0.8563  0.8140
H  0.2361  0.3325  0.8237
H  0.2639  0.6675  0.3237
H  0.5000  0.1437  0.3140
H  0.7361  0.6675  0.3237
H  0.7639  0.3325  0.8237
N  0.0000  0.1677  0.4084
N  0.5000  0.8323  0.9084

Diffraction record for Hf2Zr3H2N2. The powder diffractogram is theoretical, not measured: it uses a crystal structure in Alexandria, relaxed with PBE and Cu Kα.
Kinematic intensities with the Lorentz-polarization factor, no thermal factor.

Main lines, most intense first (2θ from 10° to 90°):
| two_theta | intensity |
| --- | --- |
| 32.2 | 100 |
| 35.5 | 74 |
| 21.9 | 64 |
| 43.1 | 56 |
| 57.0 | 38 |
| 37.9 | 35 |
| 45.6 | 32 |
| 64.5 | 22 |
| 34.0 | 22 |
| 56.0 | 21 |

Cell and atoms:
Cell lengths 8.4550, 8.4550, 8.4550 Å; angles 151.23, 151.23, 41.13 degrees
Sites, in units of the cell vectors:
Hf  0.0853  0.0853  0.0000
Hf  0.9147  0.9147  0.0000
Zr  0.2500  0.7500  0.5000
Zr  0.5000  0.5000  0.0000
Zr  0.7500  0.2500  0.5000
H  0.2774  0.2774  0.0000
H  0.7226  0.7226  0.0000
N  0.0000  0.5000  0.5000
N  0.5000  0.0000  0.5000

Diffraction record for NaHfH2O4. The powder diffractogram is theoretical, not measured: it uses a crystal structure in Alexandria, relaxed with PBE and Cu Kα.
Kinematic intensities with the Lorentz-polarization factor, no thermal factor.

Main lines, most intense first (2θ from 10° to 90°):
| two_theta | intensity |
| --- | --- |
| 25.4 | 100 |
| 23.2 | 95 |
| 40.5 | 81 |
| 24.1 | 72 |
| 42.9 | 39 |
| 44.5 | 30 |
| 49.4 | 29 |
| 47.4 | 25 |
| 34.9 | 23 |
| 52.1 | 19 |

Cell and atoms:
Cell lengths 4.5475, 4.5475, 4.5475 Å; angles 116.21, 111.15, 101.39 degrees
Sites, in units of the cell vectors:
Na  0.0000  0.0000  0.0000
Hf  0.5000  0.5000  0.0000
H  0.2816  0.7816  0.5000
H  0.7184  0.2184  0.5000
O  0.1330  0.5821  0.1561
O  0.4260  0.9769  0.8439
O  0.5740  0.4179  0.5509
O  0.8670  0.0231  0.4491

Diffraction record for Rb2NaHfH6. The powder diffractogram is theoretical, not measured: it uses a crystal structure in Alexandria, relaxed with PBE and Cu Kα.
Kinematic intensities with the Lorentz-polarization factor, no thermal factor.

Main lines, most intense first (2θ from 10° to 90°):
| two_theta | intensity |
| --- | --- |
| 28.9 | 100 |
| 51.2 | 40 |
| 17.6 | 37 |
| 34.0 | 21 |
| 82.6 | 20 |
| 41.3 | 20 |
| 67.8 | 17 |
| 59.9 | 13 |
| 45.2 | 10 |
| 54.6 | 8 |

Cell and atoms:
Cell lengths 6.1800, 8.7393, 6.1801 Å; angles 90.00, 90.00, 90.00 degrees
Sites, in units of the cell vectors:
Rb  0.2500  0.0000  0.2503
Rb  0.2500  0.5000  0.2503
Rb  0.7500  0.0000  0.7497
Rb  0.7500  0.5000  0.7497
Na  0.2500  0.2500  0.7496
Na  0.7500  0.7500  0.2504
Hf  0.2500  0.7500  0.7505
Hf  0.7500  0.2500  0.2495
H  0.0203  0.7500  0.5217
H  0.0211  0.7500  0.9802
H  0.2500  0.5207  0.7492
H  0.2500  0.9793  0.7492
H  0.4789  0.7500  0.9802
H  0.4797  0.7500  0.5217
H  0.5203  0.2500  0.4783
H  0.5211  0.2500  0.0198
H  0.7500  0.0207  0.2508
H  0.7500  0.4793  0.2508
H  0.9789  0.2500  0.0198
H  0.9797  0.2500  0.4783

Diffraction record for HfNb2H4. The powder diffractogram is theoretical, not measured: it uses a crystal structure in Alexandria, relaxed with PBE and Cu Kα.
Kinematic intensities with the Lorentz-polarization factor, no thermal factor.

Main lines, most intense first (2θ from 10° to 90°):
| two_theta | intensity |
| --- | --- |
| 35.9 | 100 |
| 30.5 | 62 |
| 36.1 | 49 |
| 57.7 | 25 |
| 63.4 | 20 |
| 37.6 | 16 |
| 37.7 | 15 |
| 54.3 | 15 |
| 63.6 | 13 |
| 58.0 | 13 |

Cell and atoms:
Cell lengths 5.8516, 5.8516, 5.8360 Å; angles 119.71, 119.71, 90.40 degrees
Sites, in units of the cell vectors:
Hf  0.1233  0.8767  0.7500
Hf  0.8767  0.1233  0.2500
Nb  0.0000  0.5000  0.0000
Nb  0.5000  0.0000  0.5000
Nb  0.5000  0.5000  0.0000
Nb  0.5000  0.5000  0.5000
H  0.2622  0.2906  0.0276
H  0.2623  0.7348  0.4725
H  0.2652  0.7377  0.0275
H  0.2906  0.2622  0.5276
H  0.7094  0.7378  0.4724
H  0.7348  0.2623  0.9725
H  0.7377  0.2652  0.5275
H  0.7378  0.7094  0.9724

Diffraction record for Hf2NbTcH. The powder diffractogram is theoretical, not measured: it uses a crystal structure in Alexandria, relaxed with PBE and Cu Kα.
Kinematic intensities with the Lorentz-polarization factor, no thermal factor.

Main lines, most intense first (2θ from 10° to 90°):
| two_theta | intensity |
| --- | --- |
| 37.4 | 100 |
| 38.1 | 48 |
| 68.4 | 34 |
| 67.0 | 18 |
| 55.0 | 17 |
| 79.7 | 11 |
| 52.8 | 9 |
| 26.7 | 9 |
| 89.8 | 9 |
| 81.5 | 5 |

Cell and atoms:
Cell lengths 4.7252, 4.7252, 3.4670 Å; angles 90.00, 90.00, 90.00 degrees
Sites, in units of the cell vectors:
Hf  0.0000  0.5000  0.0000
Hf  0.5000  0.0000  0.0000
Nb  0.0000  0.0000  0.5000
Tc  0.5000  0.5000  0.5000
H  0.5000  0.5000  0.0000

Diffraction record for Hf2Si3Ni5H2. The powder diffractogram is theoretical, not measured: it uses a crystal structure in Alexandria, relaxed with PBE and Cu Kα.
Kinematic intensities with the Lorentz-polarization factor, no thermal factor.

Main lines, most intense first (2θ from 10° to 90°):
| two_theta | intensity |
| --- | --- |
| 33.0 | 100 |
| 44.0 | 94 |
| 35.7 | 86 |
| 49.6 | 71 |
| 39.0 | 48 |
| 27.7 | 44 |
| 39.7 | 35 |
| 60.9 | 35 |
| 69.1 | 30 |
| 44.9 | 28 |

Cell and atoms:
Cell lengths 10.4180, 10.4180, 10.4180 Å; angles 159.68, 159.68, 28.89 degrees
Sites, in units of the cell vectors:
Hf  0.1993  0.1993  0.0000
Hf  0.8007  0.8007  0.0000
Si  0.3353  0.3353  0.0000
Si  0.5000  0.5000  0.0000
Si  0.6647  0.6647  0.0000
Ni  0.0000  0.0000  0.0000
Ni  0.0869  0.5869  0.5000
Ni  0.4131  0.9131  0.5000
Ni  0.5869  0.0869  0.5000
Ni  0.9131  0.4131  0.5000
H  0.0846  0.0846  0.0000
H  0.9154  0.9154  0.0000

Diffraction record for Hf4HO. The powder diffractogram is theoretical, not measured: it uses a crystal structure in Alexandria, relaxed with PBE and Cu Kα.
Kinematic intensities with the Lorentz-polarization factor, no thermal factor.

Main lines, most intense first (2θ from 10° to 90°):
| two_theta | intensity |
| --- | --- |
| 35.5 | 100 |
| 34.2 | 52 |
| 62.1 | 30 |
| 49.2 | 18 |
| 64.6 | 13 |
| 38.4 | 11 |
| 75.2 | 8 |
| 53.0 | 7 |
| 59.3 | 7 |
| 70.3 | 6 |

Cell and atoms:
Cell lengths 6.2758, 6.2758, 6.2758 Å; angles 107.65, 107.65, 113.17 degrees
Sites, in units of the cell vectors:
Hf  0.2119  0.0000  0.2119
Hf  0.2927  0.0246  0.7318
Hf  0.2927  0.5609  0.2682
Hf  0.3109  0.5427  0.7682
Hf  0.7500  0.0381  0.2881
Hf  0.7500  0.4619  0.7119
Hf  0.7746  0.5427  0.2318
Hf  0.7881  0.0000  0.7881
H  0.1814  0.1814  0.0000
H  0.9314  0.4314  0.5000
O  0.5244  0.0244  0.5000
O  0.7744  0.7744  0.0000

Diffraction record for Hf2PH2. The powder diffractogram is theoretical, not measured: it uses a crystal structure in Alexandria, relaxed with PBE and Cu Kα.
Kinematic intensities with the Lorentz-polarization factor, no thermal factor.

Main lines, most intense first (2θ from 10° to 90°):
| two_theta | intensity |
| --- | --- |
| 34.0 | 100 |
| 30.5 | 78 |
| 32.0 | 67 |
| 34.6 | 34 |
| 53.8 | 28 |
| 57.8 | 27 |
| 60.5 | 23 |
| 46.8 | 20 |
| 40.3 | 16 |
| 50.8 | 16 |

Cell and atoms:
Cell lengths 5.9201, 5.7363, 5.2867 Å; angles 64.82, 61.27, 53.91 degrees
Sites, in units of the cell vectors:
Hf  0.0930  0.0930  0.6570
Hf  0.3430  0.3430  0.9070
Hf  0.6570  0.6570  0.0930
Hf  0.9070  0.9070  0.3430
P  0.3750  0.3750  0.3750
P  0.6250  0.6250  0.6250
H  0.0008  0.7492  0.0008
H  0.2508  0.9992  0.2508
H  0.7492  0.0008  0.7492
H  0.9992  0.2508  0.9992

Diffraction record for Hf2P2H. The powder diffractogram is theoretical, not measured: it uses a crystal structure in Alexandria, relaxed with PBE and Cu Kα.
Kinematic intensities with the Lorentz-polarization factor, no thermal factor.

Main lines, most intense first (2θ from 10° to 90°):
| two_theta | intensity |
| --- | --- |
| 29.1 | 100 |
| 35.4 | 97 |
| 30.8 | 77 |
| 25.5 | 73 |
| 42.1 | 46 |
| 32.9 | 43 |
| 51.7 | 41 |
| 36.8 | 40 |
| 41.3 | 36 |
| 18.8 | 27 |

Cell and atoms:
Cell lengths 6.6325, 6.6325, 6.9816 Å; angles 90.00, 90.00, 149.06 degrees
Sites, in units of the cell vectors:
Hf  0.0696  0.9304  0.5000
Hf  0.3494  0.6506  0.4075
Hf  0.6506  0.3494  0.9075
Hf  0.9304  0.0696  0.0000
P  0.2795  0.7205  0.0567
P  0.4639  0.5361  0.7208
P  0.5361  0.4639  0.2208
P  0.7205  0.2795  0.5567
H  0.0832  0.9168  0.9304
H  0.9168  0.0832  0.4304